# 1
Structure and computed X-ray diffraction stick pattern of Y4ScAg5 (a crystal structure in Alexandria, relaxed with GGA-PBE; Cu Ka).
Neutral-atom scattering factors, no anomalous dispersion.

Atomic structure:
Lattice parameters (Å, degrees): 3.5758 3.5758 18.2948 90.00 90.00 90.00
Space group P4/mmm (No. 123)
Symmetry-distinct sites (fractional):
Y 0.0000 0.0000 0.1022 x2
Y 0.0000 0.0000 0.3067 x2
Sc 0.0000 0.0000 0.5000 x1
Ag 0.5000 0.5000 0.0000 x1
Ag 0.5000 0.5000 0.2043 x2
Ag 0.5000 0.5000 0.4123 x2

The 10 most intense peaks (2θ from 10° to 90°), by angle:
(hkl)	two_theta	d (Å)	Rel. int.
1 0 5	35.09	2.557	100
1 1 0	35.50	2.529	51
0 0 10	49.84	1.829	8
2 0 0	51.09	1.788	17
1 1 10	62.68	1.482	15
2 1 5	63.49	1.465	33
2 0 10	74.16	1.279	9
1 0 15	83.80	1.154	5
3 0 5	85.72	1.133	7
3 1 0	85.96	1.131	7


# 2
Structure and computed X-ray diffraction stick pattern of Ac2Zn7 (a crystal structure in Alexandria, relaxed with GGA-PBE; Cu Ka).
Neutral-atom scattering factors, no anomalous dispersion.

Atomic structure:
Lattice parameters (Å, degrees): 5.7352 5.7352 39.6118 90.00 90.00 120.00
Space group R-3m (No. 166, hexagonal axes)
Symmetry-distinct sites (fractional):
Ac 0.0000 0.0000 0.0517 x6
Ac 0.0000 0.0000 0.1497 x6
Zn 0.0000 0.0000 0.2800 x6
Zn 0.0000 0.0000 0.3875 x6
Zn 0.0000 0.0000 0.5000 x3
Zn 0.0000 0.5000 0.0000 x9
Zn 0.0005 0.5003 0.1073 x18

The 10 most intense peaks (2θ from 10° to 90°), by angle:
(hkl)	two_theta	d (Å)	Rel. int.
1 0 1	18.00	4.928	14
1 0 10	28.83	3.097	45
0 1 11	30.67	2.915	30
1 1 0	31.19	2.868	52
0 2 1	36.24	2.479	35
2 0 2	36.50	2.462	14
1 1 9	37.43	2.403	100
2 1 10	54.06	1.696	16
2 0 20	59.69	1.549	38
2 2 0	65.05	1.434	21


Which formula does entry 2 have? Ac2Zn7